The following is a computed PXRD pattern of Dy4SbPd2. It was derived from a crystal structure in Alexandria, relaxed with PBE, using λ = 1.5418 Å (Cu Kα).
No peak broadening, texture or thermal motion is included.

```
data_Dy4SbPd2
_cell_length_a 12.881
_cell_length_b 12.911
_cell_length_c 8.720
_cell_angle_alpha 90.00
_cell_angle_beta 90.00
_cell_angle_gamma 90.00
_space_group_name_H-M_alt 'F d d 2'
_space_group_IT_number 43
_space_group_name_Hall 'F 2 -2d'
loop_
_atom_site_label
_atom_site_type_symbol
_atom_site_fract_x
_atom_site_fract_y
_atom_site_fract_z
_atom_site_occupancy
Dy1 Dy 0.056 0.380 0.000 1
Dy2 Dy 0.121 0.055 0.146 1
Sb1 Sb 0.000 0.000 0.823 1
Pd1 Pd 0.068 0.319 0.698 1
```

Most intense lines, 10 to 90 degrees two-theta, most intense first:
2θ/deg  I (rel.)
31.2  100
32.3  98
31.0  94
37.0  84
37.4  56
52.6  33
38.0  30
52.0  26
28.3  22
49.3  22



The following is a computed PXRD pattern of LaPd3Se3. It was derived from a crystal structure in Alexandria, relaxed with PBE, using λ = 1.5418 Å (Cu Kα).
No peak broadening, texture or thermal motion is included.

```
data_LaPd3Se3
_cell_length_a 6.939
_cell_length_b 6.939
_cell_length_c 6.939
_cell_angle_alpha 90.00
_cell_angle_beta 90.00
_cell_angle_gamma 90.00
_space_group_name_H-M_alt 'P m -3 n'
_space_group_IT_number 223
_space_group_name_Hall '-P 4n 2 3'
loop_
_atom_site_label
_atom_site_type_symbol
_atom_site_fract_x
_atom_site_fract_y
_atom_site_fract_z
_atom_site_occupancy
La1 La 0.000 0.000 0.000 1
Pd1 Pd 0.000 0.250 0.500 1
Se1 Se 0.000 0.500 0.250 1
```

Most intense lines, 10 to 90 degrees two-theta, most intense first:
2θ/deg  I (rel.)
31.6  100
49.1  57
25.7  43
52.8  27
45.3  21
86.5  17
77.9  17
75.0  16
59.6  16
62.8  14



The following is a computed PXRD pattern of Dy4NiTe2S. It was derived from a crystal structure in Alexandria, relaxed with PBE, using λ = 1.5418 Å (Cu Kα).
No peak broadening, texture or thermal motion is included.

```
data_Dy4NiTe2S
_cell_length_a 7.241
_cell_length_b 4.018
_cell_length_c 7.412
_cell_angle_alpha 90.00
_cell_angle_beta 108.42
_cell_angle_gamma 90.00
_space_group_name_H-M_alt 'P 1 2/m 1'
_space_group_IT_number 10
loop_
_space_group_symop_operation_xyz
'x,y,z'
'-x,-y,-z'
'-x,y,-z'
'x,-y,z'
loop_
_atom_site_label
_atom_site_type_symbol
_atom_site_fract_x
_atom_site_fract_y
_atom_site_fract_z
_atom_site_occupancy
Dy1 Dy 0.220 0.000 0.203 1
Dy2 Dy 0.259 0.500 0.787 1
Ni1 Ni 0.000 0.500 0.000 1
Te1 Te 0.000 0.000 0.500 1
Te2 Te 0.500 0.500 0.500 1
S1 S 0.500 0.000 0.000 1
```

Most intense lines, 10 to 90 degrees two-theta, most intense first:
2θ/deg  I (rel.)
30.5  100
30.1  54
43.8  40
43.0  32
55.2  20
45.1  19
42.2  15
33.3  15
26.8  13
63.0  12



The following is a computed PXRD pattern of K3CaSe2O6. It was derived from a crystal structure in Alexandria, relaxed with PBE, using λ = 1.5418 Å (Cu Kα).
No peak broadening, texture or thermal motion is included.

```
data_K3CaSe2O6
_cell_length_a 5.9548
_cell_length_b 5.9548
_cell_length_c 7.0760
_cell_angle_alpha 90.00
_cell_angle_beta 90.00
_cell_angle_gamma 120.00
_space_group_name_H-M_alt 'P -3 m 1'
_space_group_IT_number 164
_space_group_name_Hall '-P 3 2"'
loop_
_atom_site_label
_atom_site_type_symbol
_atom_site_fract_x
_atom_site_fract_y
_atom_site_fract_z
_atom_site_occupancy
K1 K 0.0000 0.0000 0.0000 1
K2 K 0.3333 0.6667 0.6625 1
Ca1 Ca 0.0000 0.0000 0.5000 1
Se1 Se 0.3333 0.6667 0.1838 1
O1 O 0.1827 0.3654 0.3014 1
```

Most intense lines, 10 to 90 degrees two-theta, most intense first:
2θ/deg  I (rel.)
30.0  100
30.6  95
43.4  65
21.3  57
53.7  34
62.4  20
63.8  19
53.3  18
71.1  16
72.1  16



The following is a computed PXRD pattern of TlPdAu3. It was derived from a crystal structure in Alexandria, relaxed with PBE, using λ = 1.5418 Å (Cu Kα).
No peak broadening, texture or thermal motion is included.

```
data_TlPdAu3
_cell_length_a 6.005
_cell_length_b 4.087
_cell_length_c 15.291
_cell_angle_alpha 90.00
_cell_angle_beta 90.00
_cell_angle_gamma 90.00
_space_group_name_H-M_alt 'P n m a'
_space_group_IT_number 62
loop_
_space_group_symop_operation_xyz
'x,y,z'
'-x,-y,-z'
'-x+1/2,-y,z+1/2'
'x+1/2,y,-z+1/2'
'x+1/2,-y+1/2,-z+1/2'
'-x+1/2,y+1/2,z+1/2'
'-x,y+1/2,-z'
'x,-y+1/2,z'
loop_
_atom_site_label
_atom_site_type_symbol
_atom_site_fract_x
_atom_site_fract_y
_atom_site_fract_z
_atom_site_occupancy
Tl1 Tl 0.150 0.250 0.144 1
Pd1 Pd 0.114 0.250 0.553 1
Au1 Au 0.095 0.250 0.751 1
Au2 Au 0.136 0.250 0.954 1
Au3 Au 0.145 0.250 0.356 1
```

Most intense lines, 10 to 90 degrees two-theta, most intense first:
2θ/deg  I (rel.)
36.7  100
37.2  91
42.2  63
62.8  39
44.3  31
73.2  24
74.1  19
76.6  12
76.8  11
60.6  11



The following is a computed PXRD pattern of Zr5ScRu6. It was derived from a crystal structure in Alexandria, relaxed with PBE, using λ = 1.5418 Å (Cu Kα).
No peak broadening, texture or thermal motion is included.

```
data_Zr5ScRu6
_cell_length_a 4.615
_cell_length_b 13.879
_cell_length_c 6.532
_cell_angle_alpha 90.00
_cell_angle_beta 90.00
_cell_angle_gamma 90.00
_space_group_name_H-M_alt 'C m m m'
_space_group_IT_number 65
_space_group_name_Hall '-C 2 2'
loop_
_atom_site_label
_atom_site_type_symbol
_atom_site_fract_x
_atom_site_fract_y
_atom_site_fract_z
_atom_site_occupancy
Zr1 Zr 0.000 0.000 0.000 1
Zr2 Zr 0.000 0.334 0.000 1
Zr3 Zr 0.000 0.335 0.500 1
Sc1 Sc 0.000 0.000 0.500 1
Ru1 Ru 0.000 0.167 0.250 1
Ru2 Ru 0.000 0.500 0.249 1
```

Most intense lines, 10 to 90 degrees two-theta, most intense first:
2θ/deg  I (rel.)
39.0  100
56.3  17
70.6  17
70.7  16
83.7  7
83.6  2
83.8  2
27.3  1



The following is a computed PXRD pattern of Ce4SmHg5. It was derived from a crystal structure in Alexandria, relaxed with PBE, using λ = 1.5418 Å (Cu Kα).
No peak broadening, texture or thermal motion is included.

```
data_Ce4SmHg5
_cell_length_a 3.279
_cell_length_b 3.279
_cell_length_c 25.287
_cell_angle_alpha 90.00
_cell_angle_beta 90.00
_cell_angle_gamma 90.00
_space_group_name_H-M_alt 'P 4/m m m'
_space_group_IT_number 123
_space_group_name_Hall '-P 4 2'
loop_
_atom_site_label
_atom_site_type_symbol
_atom_site_fract_x
_atom_site_fract_y
_atom_site_fract_z
_atom_site_occupancy
Ce1 Ce 0.000 0.000 0.187 1
Ce2 Ce 0.000 0.000 0.291 1
Sm1 Sm 0.000 0.000 0.000 1
Hg1 Hg 0.500 0.500 0.092 1
Hg2 Hg 0.500 0.500 0.386 1
Hg3 Hg 0.500 0.500 0.500 1
```

Most intense lines, 10 to 90 degrees two-theta, most intense first:
2θ/deg  I (rel.)
38.8  100
28.1  79
30.7  70
37.0  61
53.6  52
34.7  44
35.5  42
39.6  40
56.1  35
69.4  28



The following is a computed PXRD pattern of Ba8NaAg4. It was derived from a crystal structure in Alexandria, relaxed with PBE, using λ = 1.5418 Å (Cu Kα).
No peak broadening, texture or thermal motion is included.

```
data_Ba8NaAg4
_cell_length_a 21.385
_cell_length_b 4.944
_cell_length_c 15.765
_cell_angle_alpha 90.00
_cell_angle_beta 131.34
_cell_angle_gamma 90.00
_space_group_name_H-M_alt 'C 1 2/m 1'
_space_group_IT_number 12
loop_
_space_group_symop_operation_xyz
'x,y,z'
'-x,-y,-z'
'-x,y,-z'
'x,-y,z'
'x+1/2,y+1/2,z'
'-x+1/2,-y+1/2,-z'
'-x+1/2,y+1/2,-z'
'x+1/2,-y+1/2,z'
loop_
_atom_site_label
_atom_site_type_symbol
_atom_site_fract_x
_atom_site_fract_y
_atom_site_fract_z
_atom_site_occupancy
Ba1 Ba 0.035 0.000 0.180 1
Ba2 Ba 0.106 0.500 0.765 1
Ba3 Ba 0.179 0.500 0.110 1
Ba4 Ba 0.180 0.500 0.542 1
Na1 Na 0.000 0.000 0.500 1
Ag1 Ag 0.174 0.500 0.323 1
Ag2 Ag 0.197 0.000 0.968 1
```

Most intense lines, 10 to 90 degrees two-theta, most intense first:
2θ/deg  I (rel.)
24.5  100
29.6  72
24.8  61
36.3  53
32.4  44
28.8  44
34.8  43
11.0  39
11.3  36
30.0  35